Diffraction record for Rb2Cd3CoF12. The powder XRD pattern is theoretical, not measured: it uses a cell relaxed with PBE+U and λ = 1.5418 Å (Cu Kα).
No peak broadening, texture or thermal motion is included.

Structural model:
a b c (Å): 7.6793 7.6793 19.2393
angles (deg): 90.00 90.00 120.00
Space group R-3m (No. 166, hexagonal axes)
One atom of each set of equivalent atoms:
Rb  0.0000  0.0000  0.1280 [6 per cell]
Cd  0.0000  0.5000  0.0000 [9 per cell]
Co  0.0000  0.0000  0.5000 [3 per cell]
F  0.0558  0.5279  0.3761 [18 per cell]
F  0.1071  0.5536  0.1138 [18 per cell]

The 8 most intense peaks (2θ = 10–80°), in order of falling intensity:
3.294 Å, 2θ 27.07, I = 100; 3.143 Å, 2θ 28.40, I = 74; 3.277 Å, 2θ 27.22, I = 64; 1.949 Å, 2θ 46.61, I = 54; 3.331 Å, 2θ 26.77, I = 49; 1.920 Å, 2θ 47.35, I = 43; 6.286 Å, 2θ 14.09, I = 31; 2.095 Å, 2θ 43.18, I = 29